No. 1
Sc8AgRu2: calculated powder XRD pattern (λ = 1.5418 Å (Cu Kα)), based on a GGA-PBE-relaxed structure.

The 10 most intense peaks (10° ≤ 2θ ≤ 80°), in order of rising 2θ:
two_theta	I/Imax
22.9	828
25.9	265
33.7	338
33.9	221
36.9	745
38.2	1000
43.9	475
46.1	352
60.5	209
67.4	308

Crystal structure
```
Sc8AgRu2
1.0
-2.433 7.301 3.227
2.433 -7.301 3.227
2.433 7.301 -3.227
Sc Ag Ru
8 1 2
direct
0.000 0.000 0.000
0.078 0.415 0.663
0.171 0.880 0.291
0.283 0.783 0.500
0.446 0.559 0.887
0.589 0.880 0.709
0.672 0.559 0.113
0.752 0.415 0.337
0.703 0.203 0.500
0.013 0.183 0.830
0.354 0.183 0.170
```


No. 2
AgRu4Se: calculated powder XRD pattern (λ = 1.5418 Å (Cu Kα)), based on a GGA-PBE-relaxed structure.

The 10 most intense peaks (10° ≤ 2θ ≤ 80°), in order of rising 2θ:
two_theta	I/Imax
21.0	91
34.6	251
40.8	1000
42.8	426
49.8	58
54.6	20
62.1	87
66.3	306
73.1	267
77.0	14

Crystal structure
```
AgRu4Se
1.0
0.000 3.664 3.664
3.664 0.000 3.664
3.664 3.664 0.000
Ag Ru Se
1 4 1
direct
0.000 0.000 0.000
0.126 0.625 0.625
0.625 0.126 0.625
0.625 0.625 0.126
0.625 0.625 0.625
0.250 0.250 0.250
```